Diffraction record for Nd3Dy4Au4. The XRD peak list is simulated, not measured: it uses a cell relaxed with PBE and Cu Kα (weighted mean of Kα1 and Kα2).
Neutral-atom scattering factors, no anomalous dispersion.

Largest 10 diffraction maxima, most intense first, 10° ≤ 2θ ≤ 90°:
h k l  2θ/deg  Rel. int.
1 2 1  29.90  100
1 1 4  31.27  49
2 0 0  36.84  47
0 0 6  33.97  35
1 2 5  41.12  33
1 3 2  41.01  30
0 1 5  30.45  26
3 2 1  62.14  20
0 2 6  41.31  15
2 1 5  48.52  14

Crystal structure
abc: 4.8796 7.7839 15.8502
angles: 90.00 90.00 90.00
Space group Immm (No. 71)
Asymmetric unit:
Nd1 0.0000 0.0000 0.0000 x2
Nd2 0.0000 0.5000 0.1030 x4
Dy1 0.0000 0.2859 0.3272 x8
Au1 0.0000 0.0000 0.2066 x4
Au2 0.0000 0.1897 0.5000 x4

=====

Diffraction record for Dy3Ni7Au2. The XRD peak list is simulated, not measured: it uses a cell relaxed with PBE and Cu Kα (weighted mean of Kα1 and Kα2).
Neutral-atom scattering factors, no anomalous dispersion.

Largest 10 diffraction maxima, most intense first, 10° ≤ 2θ ≤ 90°:
h k l  2θ/deg  Rel. int.
1 1 6  41.38  100
1 1 0  35.08  65
2 0 5  44.71  26
0 3 6  67.24  26
0 0 12  43.30  24
0 0 9  32.12  22
0 0 6  21.25  18
1 1 15  66.84  18
2 2 0  74.15  18
1 1 9  48.30  14

Crystal structure
abc: 5.1151 5.1151 25.0851
angles: 90.00 90.00 120.00
Space group R-3m (No. 166, hexagonal axes)
Asymmetric unit:
Dy1 0.0000 0.0000 0.0000 x3
Dy2 0.0000 0.0000 0.1398 x6
Ni1 0.0000 0.0000 0.5000 x3
Ni2 0.0026 0.5013 0.9117 x18
Au1 0.0000 0.0000 0.3336 x6